Starting from a crystal structure in Alexandria, relaxed with GGA-PBE, the X-ray diffraction stick pattern of BaNaNbBiO6 was calculated for Cu Ka.
No peak broadening, texture or thermal motion is included.

Atomic structure:
Lattice parameters (Å, degrees): 5.999 5.999 5.999 60.00 60.00 60.00
Positions (direct):
Ba  0.000  0.000  0.000
Na  0.500  0.500  0.500
Nb  0.250  0.250  0.250
Bi  0.750  0.750  0.750
O  0.013  0.013  0.487
O  0.013  0.487  0.013
O  0.013  0.487  0.487
O  0.487  0.013  0.013
O  0.487  0.013  0.487
O  0.487  0.487  0.013

Main lines, in order of rising 2θ (2θ from 10° to 80°):
| 2theta | I_rel |
| --- | --- |
| 18.11 | 255 |
| 20.94 | 218 |
| 29.79 | 1000 |
| 35.08 | 176 |
| 42.63 | 317 |
| 46.67 | 88 |
| 47.96 | 95 |
| 52.87 | 411 |
| 61.87 | 198 |
| 70.16 | 184 |